No. 1
For PrNdZn6Si3, a crystal structure in OQMD, relaxed with GGA-PBE gives the calculated powder diffraction line list in this record (Cu Ka).
Intensities are scaled so that the largest is 100.

Principal peaks in the range 2θ from 10° to 80°, by angle:
two_theta  d (Å)  Rel. int.
27.2  3.274  14
32.3  2.772  100
36.3  2.475  23
41.4  2.183  26
42.7  2.116  45
44.5  2.038  20
53.4  1.715  11
58.7  1.573  11
62.3  1.490  15
69.7  1.348  23

Structural model:
Cell lengths 7.5612, 7.5612, 4.0761 Å; angles 90.00, 90.00, 120.00 degrees
Atoms (fractional coordinates):
Pr 0.0000 0.0000 0.0000
Nd 0.6667 0.3333 0.0000
Zn 0.0374 0.6670 0.5000
Zn 0.1411 0.4758 0.0000
Zn 0.3330 0.3704 0.5000
Zn 0.3347 0.8589 0.0000
Zn 0.5242 0.6653 0.0000
Zn 0.6296 0.9626 0.5000
Si 0.3346 0.0427 0.5000
Si 0.7081 0.6654 0.5000
Si 0.9573 0.2919 0.5000


No. 2
For PrNdSn2, a crystal structure in OQMD, relaxed with GGA-PBE gives the calculated powder diffraction line list in this record (Cu Ka).
Intensities are scaled so that the largest is 100.

Principal peaks in the range 2θ from 10° to 80°, by angle:
two_theta  d (Å)  Rel. int.
28.8  3.098  100
29.6  3.014  18
30.3  2.948  33
36.1  2.487  74
36.7  2.450  16
38.3  2.348  28
41.0  2.201  23
49.6  1.837  17
51.8  1.764  15
57.4  1.606  17

Structural model:
Cell lengths 4.4014, 6.3468, 6.3468 Å; angles 43.42, 90.00, 90.00 degrees
Atoms (fractional coordinates):
Pr 0.0000 0.0000 0.0000
Nd 0.5000 0.7282 0.7282
Sn 0.0000 0.2750 0.2750
Sn 0.5000 0.4527 0.4527


No. 3
For Nd2Pt7, a crystal structure in OQMD, relaxed with GGA-PBE gives the calculated powder diffraction line list in this record (Cu Ka).
Intensities are scaled so that the largest is 100.

Principal peaks in the range 2θ from 10° to 80°, by angle:
two_theta  d (Å)  Rel. int.
18.9  4.687  26
32.9  2.725  19
38.2  2.356  25
38.8  2.322  100
40.7  2.219  29
42.4  2.134  38
43.0  2.103  14
44.6  2.032  18
62.7  1.483  25
68.9  1.362  27

Structural model:
Cell lengths 13.6792, 13.6792, 13.6792 Å; angles 22.98, 22.98, 22.98 degrees
Atoms (fractional coordinates):
Nd 0.0495 0.0495 0.0495
Nd 0.1473 0.1473 0.1473
Nd 0.8527 0.8527 0.8527
Nd 0.9505 0.9505 0.9505
Pt 0.0000 0.5000 0.5000
Pt 0.1078 0.6132 0.6132
Pt 0.2777 0.2777 0.2777
Pt 0.3868 0.3868 0.8922
Pt 0.3868 0.8922 0.3868
Pt 0.3887 0.3887 0.3887
Pt 0.5000 0.0000 0.5000
Pt 0.5000 0.5000 0.0000
Pt 0.5000 0.5000 0.5000
Pt 0.6113 0.6113 0.6113
Pt 0.6132 0.1078 0.6132
Pt 0.6132 0.6132 0.1078
Pt 0.7223 0.7223 0.7223
Pt 0.8922 0.3868 0.3868


No. 4
For Nd2SbPt8, a crystal structure in OQMD, relaxed with GGA-PBE gives the calculated powder diffraction line list in this record (Cu Ka).
Intensities are scaled so that the largest is 100.

Principal peaks in the range 2θ from 10° to 80°, by angle:
two_theta  d (Å)  Rel. int.
16.7  5.322  27
30.1  2.967  22
36.4  2.471  100
38.0  2.365  27
38.4  2.344  36
40.4  2.234  23
41.7  2.166  49
43.6  2.076  55
57.7  1.597  16
59.4  1.555  15

Structural model:
Cell lengths 4.3319, 9.3611, 9.3611 Å; angles 145.35, 90.00, 90.00 degrees
Atoms (fractional coordinates):
Nd 0.0000 0.1283 0.8717
Nd 0.0000 0.8717 0.1283
Sb 0.5000 0.2939 0.2939
Pt 0.0000 0.3127 0.7214
Pt 0.0000 0.5600 0.5600
Pt 0.0000 0.7214 0.3127
Pt 0.5000 0.0226 0.5166
Pt 0.5000 0.4302 0.6658
Pt 0.5000 0.5166 0.0226
Pt 0.5000 0.6658 0.4302
Pt 0.5000 0.8584 0.8584


No. 5
For Nd2SiPt, a crystal structure in OQMD, relaxed with GGA-PBE gives the calculated powder diffraction line list in this record (Cu Ka).
Intensities are scaled so that the largest is 100.

Principal peaks in the range 2θ from 10° to 80°, by angle:
two_theta  d (Å)  Rel. int.
18.9  4.692  47
28.1  3.175  40
31.0  2.881  87
32.5  2.756  67
34.7  2.588  96
38.1  2.364  46
38.8  2.322  100
41.9  2.156  45
54.0  1.698  32
71.9  1.313  30

Structural model:
Cell lengths 4.3118, 7.7420, 5.8978 Å; angles 90.00, 90.00, 90.00 degrees
Atoms (fractional coordinates):
Nd 0.0000 0.0630 0.0000
Nd 0.0000 0.5844 0.2431
Nd 0.5000 0.4156 0.7431
Nd 0.5000 0.9370 0.5000
Si 0.0000 0.7053 0.7394
Si 0.5000 0.2947 0.2394
Pt 0.0000 0.2113 0.4907
Pt 0.5000 0.7887 0.9907


No. 6
For Nd2SiPt8, a crystal structure in OQMD, relaxed with GGA-PBE gives the calculated powder diffraction line list in this record (Cu Ka).
Intensities are scaled so that the largest is 100.

Principal peaks in the range 2θ from 10° to 80°, by angle:
two_theta  d (Å)  Rel. int.
17.0  5.207  18
30.5  2.930  17
32.9  2.723  14
36.8  2.444  100
38.8  2.320  18
39.2  2.300  28
42.1  2.148  36
44.4  2.042  28
61.3  1.513  14
73.4  1.290  17

Structural model:
Cell lengths 4.2959, 9.2743, 9.2743 Å; angles 145.85, 90.00, 90.00 degrees
Atoms (fractional coordinates):
Nd 0.0000 0.1228 0.8772
Nd 0.0000 0.8772 0.1228
Si 0.5000 0.2688 0.2688
Pt 0.0000 0.3004 0.7027
Pt 0.0000 0.4906 0.4906
Pt 0.0000 0.7027 0.3004
Pt 0.5000 0.0046 0.5072
Pt 0.5000 0.3856 0.6077
Pt 0.5000 0.5072 0.0046
Pt 0.5000 0.6077 0.3856
Pt 0.5000 0.8520 0.8520


No. 7
For NdSmPt4, a crystal structure in OQMD, relaxed with GGA-PBE gives the calculated powder diffraction line list in this record (Cu Ka).
Intensities are scaled so that the largest is 100.

Principal peaks in the range 2θ from 10° to 80°, by angle:
two_theta  d (Å)  Rel. int.
19.8  4.482  15
32.6  2.745  19
38.5  2.341  100
40.2  2.241  50
46.8  1.941  9
51.3  1.781  4
58.2  1.585  7
62.1  1.494  33
68.3  1.372  30
77.8  1.228  3

Structural model:
Cell lengths 5.4898, 5.4898, 5.4898 Å; angles 60.00, 60.00, 60.00 degrees
Atoms (fractional coordinates):
Nd 0.0000 0.0000 0.0000
Sm 0.2500 0.2500 0.2500
Pt 0.1254 0.6249 0.6249
Pt 0.6249 0.1254 0.6249
Pt 0.6249 0.6249 0.1254
Pt 0.6249 0.6249 0.6249


No. 8
For Nd7Te2Pt2, a crystal structure in OQMD, relaxed with GGA-PBE gives the calculated powder diffraction line list in this record (Cu Ka).
Intensities are scaled so that the largest is 100.

Principal peaks in the range 2θ from 10° to 80°, by angle:
two_theta  d (Å)  Rel. int.
10.8  8.215  18
28.6  3.119  18
29.0  3.083  33
31.6  2.827  38
32.3  2.772  100
32.9  2.723  36
35.0  2.561  20
36.8  2.445  31
44.7  2.029  25
55.7  1.649  20

Structural model:
Cell lengths 9.8042, 9.8042, 9.8042 Å; angles 156.11, 66.16, 119.33 degrees
Atoms (fractional coordinates):
Nd 0.0000 0.0000 0.0000
Nd 0.2901 0.4177 0.8724
Nd 0.3018 0.6206 0.6812
Nd 0.5453 0.4177 0.1276
Nd 0.6186 0.2630 0.3556
Nd 0.9073 0.2630 0.6444
Nd 0.9394 0.6206 0.3188
Te 0.2624 0.7624 0.5000
Te 0.6665 0.6665 0.0000
Pt 0.1647 0.9269 0.2378
Pt 0.6891 0.9269 0.7622